No. 1
For Te4MoW2S2, a DFT-relaxed cell (PBE, the Materials Project) gives the theoretical powder diffraction line list in this record (a wavelength of 1.5418 Å).
Peak positions follow from Bragg's law for the DFT cell and can differ from measured ones.

Structure:
```
data_Te4MoW2S2
_chemical_formula_sum 'Te4 Mo1 W2 S2'
_space_group_name_H-M_alt 'P 1'
_space_group_IT_number 1
_space_group_name_Hall 'P 1'
_cell_length_a 3.420
_cell_length_b 3.420
_cell_length_c 32.596
_cell_angle_alpha 90.00
_cell_angle_beta 90.00
_cell_angle_gamma 120.00
loop_
_atom_site_label
_atom_site_type_symbol
_atom_site_fract_x
_atom_site_fract_y
_atom_site_fract_z
_atom_site_occupancy
Te1 Te 0.000 0.000 0.000 1
Te2 Te 0.000 0.000 0.114 1
Te3 Te 0.333 0.667 0.233 1
Te4 Te 0.333 0.667 0.348 1
Mo1 Mo 0.333 0.667 0.057 1
W1 W 0.000 0.000 0.290 1
W2 W 0.000 0.000 0.826 1
S1 S 0.333 0.667 0.780 1
S2 S 0.333 0.667 0.873 1
```

Main lines, by angle (2θ from 5° to 70°):
16.298 Å, 2θ 5.42, I = 100; 8.149 Å, 2θ 10.86, I = 67; 2.962 Å, 2θ 30.17, I = 22; 2.600 Å, 2θ 34.49, I = 32; 2.499 Å, 2θ 35.93, I = 37; 2.095 Å, 2θ 43.19, I = 28

***

No. 2
For Te2Mo2WS4, a DFT-relaxed cell (PBE, the Materials Project) gives the theoretical powder diffraction line list in this record (a wavelength of 1.5418 Å).
Peak positions follow from Bragg's law for the DFT cell and can differ from measured ones.

Structure:
```
data_Te2Mo2WS4
_chemical_formula_sum 'Te2 Mo2 W1 S4'
_space_group_name_H-M_alt 'P 1'
_space_group_IT_number 1
_space_group_name_Hall 'P 1'
_cell_length_a 3.300
_cell_length_b 3.300
_cell_length_c 30.267
_cell_angle_alpha 90.00
_cell_angle_beta 90.00
_cell_angle_gamma 120.00
loop_
_atom_site_label
_atom_site_type_symbol
_atom_site_fract_x
_atom_site_fract_y
_atom_site_fract_z
_atom_site_occupancy
Te1 Te 0.000 0.000 0.000 1
Te2 Te 0.000 0.000 0.127 1
Mo1 Mo 0.000 0.000 0.295 1
Mo2 Mo 0.667 0.333 0.063 1
W1 W 0.667 0.333 0.526 1
S1 S 0.000 0.000 0.475 1
S2 S 0.000 0.000 0.577 1
S3 S 0.667 0.333 0.244 1
S4 S 0.667 0.333 0.345 1
```

Main lines, by angle (2θ from 5° to 70°):
15.134 Å, 2θ 5.84, I = 100; 7.567 Å, 2θ 11.70, I = 31; 2.487 Å, 2θ 36.12, I = 15; 2.384 Å, 2θ 37.73, I = 17; 1.982 Å, 2θ 45.78, I = 10; 1.649 Å, 2θ 55.73, I = 9

***

No. 3
For Te4Mo2WS2, a DFT-relaxed cell (PBE, the Materials Project) gives the theoretical powder diffraction line list in this record (a wavelength of 1.5418 Å).
Peak positions follow from Bragg's law for the DFT cell and can differ from measured ones.

Structure:
```
data_Te4Mo2WS2
_chemical_formula_sum 'Te4 Mo2 W1 S2'
_space_group_name_H-M_alt 'P 1'
_space_group_IT_number 1
_space_group_name_Hall 'P 1'
_cell_length_a 3.423
_cell_length_b 3.423
_cell_length_c 31.719
_cell_angle_alpha 90.00
_cell_angle_beta 90.00
_cell_angle_gamma 120.00
loop_
_atom_site_label
_atom_site_type_symbol
_atom_site_fract_x
_atom_site_fract_y
_atom_site_fract_z
_atom_site_occupancy
Te1 Te 0.000 0.000 0.000 1
Te2 Te 0.000 0.000 0.117 1
Te3 Te 0.667 0.333 0.768 1
Te4 Te 0.667 0.333 0.886 1
Mo1 Mo 0.667 0.333 0.059 1
Mo2 Mo 0.667 0.333 0.596 1
W1 W 0.000 0.000 0.827 1
S1 S 0.000 0.000 0.549 1
S2 S 0.000 0.000 0.643 1
```

Main lines, by angle (2θ from 5° to 70°):
7.930 Å, 2θ 11.16, I = 100; 2.965 Å, 2θ 30.15, I = 37; 2.586 Å, 2θ 34.69, I = 64; 2.481 Å, 2θ 36.21, I = 79; 2.067 Å, 2θ 43.80, I = 46; 1.711 Å, 2θ 53.57, I = 44

***

No. 4
For Te6MoW3S2, a DFT-relaxed cell (PBE, the Materials Project) gives the theoretical powder diffraction line list in this record (a wavelength of 1.5418 Å).
Peak positions follow from Bragg's law for the DFT cell and can differ from measured ones.

Structure:
```
data_Te6MoW3S2
_chemical_formula_sum 'Te6 Mo1 W3 S2'
_space_group_name_H-M_alt 'P 1'
_space_group_IT_number 1
_space_group_name_Hall 'P 1'
_cell_length_a 3.452
_cell_length_b 3.452
_cell_length_c 39.414
_cell_angle_alpha 90.00
_cell_angle_beta 90.00
_cell_angle_gamma 120.00
loop_
_atom_site_label
_atom_site_type_symbol
_atom_site_fract_x
_atom_site_fract_y
_atom_site_fract_z
_atom_site_occupancy
Te1 Te 0.000 0.000 0.000 1
Te2 Te 0.000 0.000 0.094 1
Te3 Te 0.000 0.000 0.376 1
Te4 Te 0.000 0.000 0.470 1
Te5 Te 0.333 0.667 0.188 1
Te6 Te 0.333 0.667 0.282 1
Mo1 Mo 0.000 0.000 0.235 1
W1 W 0.000 0.000 0.859 1
W2 W 0.333 0.667 0.047 1
W3 W 0.333 0.667 0.423 1
S1 S 0.333 0.667 0.822 1
S2 S 0.333 0.667 0.897 1
```

Main lines, by angle (2θ from 5° to 70°):
13.138 Å, 2θ 6.73, I = 44; 7.883 Å, 2θ 11.22, I = 100; 2.987 Å, 2θ 29.91, I = 50; 2.556 Å, 2θ 35.11, I = 98; 2.129 Å, 2θ 42.47, I = 55; 1.725 Å, 2θ 53.08, I = 36

***

No. 5
For Te2MoW2S4, a DFT-relaxed cell (PBE, the Materials Project) gives the theoretical powder diffraction line list in this record (a wavelength of 1.5418 Å).
Peak positions follow from Bragg's law for the DFT cell and can differ from measured ones.

Structure:
```
data_Te2MoW2S4
_chemical_formula_sum 'Te2 Mo1 W2 S4'
_space_group_name_H-M_alt 'P 1'
_space_group_IT_number 1
_space_group_name_Hall 'P 1'
_cell_length_a 3.302
_cell_length_b 3.302
_cell_length_c 30.544
_cell_angle_alpha 90.00
_cell_angle_beta 90.00
_cell_angle_gamma 120.00
loop_
_atom_site_label
_atom_site_type_symbol
_atom_site_fract_x
_atom_site_fract_y
_atom_site_fract_z
_atom_site_occupancy
Te1 Te 0.000 0.000 0.000 1
Te2 Te 0.000 0.000 0.126 1
Mo1 Mo 0.667 0.333 0.600 1
W1 W 0.000 0.000 0.832 1
W2 W 0.667 0.333 0.063 1
S1 S 0.000 0.000 0.550 1
S2 S 0.000 0.000 0.651 1
S3 S 0.667 0.333 0.781 1
S4 S 0.667 0.333 0.882 1
```

Main lines, by angle (2θ from 5° to 70°):
15.272 Å, 2θ 5.79, I = 100; 7.636 Å, 2θ 11.59, I = 73; 2.493 Å, 2θ 36.03, I = 35; 2.392 Å, 2θ 37.61, I = 38; 1.992 Å, 2θ 45.54, I = 22; 1.650 Å, 2θ 55.71, I = 19

***

No. 6
For Te4Mo2WS2, a DFT-relaxed cell (PBE, the Materials Project) gives the theoretical powder diffraction line list in this record (a wavelength of 1.5418 Å).
Peak positions follow from Bragg's law for the DFT cell and can differ from measured ones.

Structure:
```
data_Te4Mo2WS2
_chemical_formula_sum 'Te4 Mo2 W1 S2'
_space_group_name_H-M_alt 'P 1'
_space_group_IT_number 1
_space_group_name_Hall 'P 1'
_cell_length_a 3.436
_cell_length_b 3.436
_cell_length_c 31.561
_cell_angle_alpha 90.00
_cell_angle_beta 90.00
_cell_angle_gamma 120.00
loop_
_atom_site_label
_atom_site_type_symbol
_atom_site_fract_x
_atom_site_fract_y
_atom_site_fract_z
_atom_site_occupancy
Te1 Te 0.000 0.000 0.000 1
Te2 Te 0.000 0.000 0.118 1
Te3 Te 0.000 0.000 0.462 1
Te4 Te 0.000 0.000 0.581 1
Mo1 Mo 0.000 0.000 0.290 1
Mo2 Mo 0.667 0.333 0.059 1
W1 W 0.667 0.333 0.521 1
S1 S 0.667 0.333 0.243 1
S2 S 0.667 0.333 0.337 1
```

Main lines, by angle (2θ from 5° to 70°):
15.780 Å, 2θ 5.60, I = 100; 7.890 Å, 2θ 11.21, I = 19; 2.976 Å, 2θ 30.03, I = 9; 2.590 Å, 2θ 34.63, I = 11; 2.484 Å, 2θ 36.17, I = 13; 2.066 Å, 2θ 43.83, I = 9